No. 1
Computed powder XRD pattern of HfTlAg3S4 for CuKα, from a PBE-relaxed structure.

```
HfTlAg3S4
1.0
6.301 0.000 0.000
0.000 7.707 0.000
-3.100 0.000 9.673
Hf Tl Ag S
2 2 6 8
Cartesian
0.183 1.927 2.860 Hf
3.019 5.780 6.813 Hf
0.910 5.780 1.176 Tl
2.292 1.927 8.497 Tl
-0.150 4.231 5.126 Ag
-0.150 7.329 5.126 Ag
-0.312 5.780 7.650 Ag
3.514 1.927 2.022 Ag
3.352 0.378 4.547 Ag
3.352 3.476 4.547 Ag
-1.879 0.034 7.019 S
-1.879 3.819 7.019 S
1.420 1.927 0.827 S
1.303 1.927 5.045 S
1.898 5.780 4.628 S
1.781 5.780 8.845 S
5.081 3.887 2.654 S
5.081 7.672 2.654 S
```

Top 10 peaks for 10 to 80 degrees two-theta, sorted by position:
h k l, 2θ (°), d (Å), I_rel
0 1 1, 14.71, 6.022, 97
1 1 0, 18.75, 4.732, 52
0 1 2, 21.69, 4.096, 55
0 2 1, 24.87, 3.580, 79
1 2 -1, 27.53, 3.240, 66
1 1 -3, 29.53, 3.025, 84
2 0 0, 29.78, 3.000, 63
2 1 -2, 32.09, 2.789, 89
2 2 -2, 38.07, 2.364, 53
2 2 1, 41.39, 2.181, 100

No. 2
Computed powder XRD pattern of Hf3AgSb5 for CuKα, from a PBE-relaxed structure.

```
Hf3AgSb5
1.0
5.988 0.000 0.000
-2.994 5.185 0.000
0.000 0.000 8.078
Hf Ag Sb
3 1 5
Cartesian
-1.497 2.593 0.000 Hf
2.994 0.000 0.000 Hf
1.497 2.593 0.000 Hf
0.000 0.000 4.039 Ag
0.000 0.000 0.000 Sb
0.000 3.457 2.432 Sb
0.000 3.457 5.646 Sb
2.994 1.728 2.432 Sb
2.994 1.728 5.646 Sb
```

Top 10 peaks for 10 to 80 degrees two-theta, sorted by position:
h k l, 2θ (°), d (Å), I_rel
0 0 1, 10.95, 8.078, 64
1 0 2, 28.00, 3.186, 20
1 1 0, 29.84, 2.994, 39
1 1 1, 31.88, 2.807, 23
0 0 3, 33.27, 2.693, 29
2 0 0, 34.60, 2.593, 24
2 0 1, 36.39, 2.469, 59
2 0 2, 41.38, 2.182, 100
2 0 4, 57.88, 1.593, 20
2 2 0, 62.00, 1.497, 25

No. 3
Computed powder XRD pattern of HfTlAgTeSe2 for CuKα, from a PBE-relaxed structure.

```
HfTlAgTeSe2
1.0
8.346 0.000 0.000
0.000 3.973 0.000
-3.473 0.000 9.725
Hf Tl Ag Te Se
2 2 2 2 4
Cartesian
1.026 0.993 1.489 Hf
3.846 2.980 8.235 Hf
-0.390 2.980 7.032 Tl
5.263 0.993 2.693 Tl
2.231 2.980 3.816 Ag
2.641 0.993 5.909 Ag
0.226 0.993 4.254 Te
4.647 2.980 5.471 Te
-2.620 0.993 8.509 Se
2.849 2.980 1.262 Se
2.024 0.993 8.463 Se
7.493 2.980 1.215 Se
```

Top 10 peaks for 10 to 80 degrees two-theta, sorted by position:
h k l, 2θ (°), d (Å), I_rel
1 0 -1, 11.86, 7.461, 38
2 0 0, 22.63, 3.930, 36
0 1 1, 24.20, 3.678, 33
1 1 -2, 28.82, 3.097, 42
2 1 -1, 31.12, 2.874, 100
2 1 0, 32.03, 2.794, 68
1 0 3, 33.25, 2.694, 49
1 1 -3, 34.54, 2.597, 62
2 1 1, 35.49, 2.530, 53
0 2 0, 45.67, 1.987, 45

No. 4
Computed powder XRD pattern of HfTlAgTeSe2 for CuKα, from a PBE-relaxed structure.

```
HfTlAgTeSe2
1.0
8.364 0.000 0.000
0.000 4.007 0.000
-3.588 0.000 9.640
Hf Tl Ag Te Se
2 2 2 2 4
Cartesian
0.943 1.002 1.560 Hf
3.833 3.006 8.080 Hf
-0.567 3.006 6.678 Tl
5.343 1.002 2.961 Tl
2.167 3.006 3.793 Ag
2.609 1.002 5.847 Ag
3.050 3.006 1.199 Te
1.726 1.002 8.441 Te
-2.744 1.002 8.417 Se
0.353 1.002 4.131 Se
4.423 3.006 5.508 Se
7.520 3.006 1.223 Se
```

Top 10 peaks for 10 to 80 degrees two-theta, sorted by position:
h k l, 2θ (°), d (Å), I_rel
1 0 -1, 11.81, 7.494, 23
2 0 -2, 23.75, 3.747, 17
1 0 2, 24.83, 3.585, 21
1 1 1, 28.01, 3.186, 31
2 1 -1, 30.93, 2.891, 100
2 1 0, 31.94, 2.802, 36
1 1 -3, 34.47, 2.602, 55
2 1 1, 35.53, 2.527, 27
1 0 4, 42.95, 2.106, 31
0 2 0, 45.26, 2.004, 34